(1)
The following is a theoretical X-ray diffraction stick pattern of Ac4Hg7Bi6. It was derived from a crystal structure in Alexandria, relaxed with PBE, using CuKα.

Peak list (6 most intense, 15 to 90 degrees two-theta, in order of rising 2θ)
2theta, d/Å, Rel. int., (hkl)
30.4, 2.936, 100, 2 2 2
35.3, 2.542, 64, 4 0 0
50.8, 1.798, 40, 4 4 0
60.4, 1.533, 33, 6 2 2
63.4, 1.468, 12, 4 4 4
85.4, 1.137, 14, 8 4 0

Atomic structure:
Unit cell a=10.1696 b=10.1696 c=10.1696 alpha=90.00 beta=90.00 gamma=90.00
Space group Im-3m (No. 229)
Asymmetric unit:
Ac (0.2500, 0.2500, 0.2500) x8
Hg (0.0000, 0.0000, 0.0000) x2
Hg (0.0000, 0.2500, 0.5000) x12
Bi (0.0000, 0.0000, 0.2950) x12

***

(2)
The following is a theoretical X-ray diffraction stick pattern of K5H3Cl2. It was derived from a crystal structure in Alexandria, relaxed with PBE, using CuKα.

Peak list (6 most intense, 15 to 90 degrees two-theta, in order of rising 2θ)
2theta, d/Å, Rel. int., (hkl)
27.4, 3.254, 72, 1 1 -2
28.0, 3.184, 42, 4 0 -3
29.0, 3.075, 100, 3 1 -2
30.8, 2.902, 71, 3 1 0
31.7, 2.824, 74, 2 0 2
40.1, 2.249, 33, 6 0 -4

Atomic structure:
Unit cell a=14.6668 b=4.2149 c=10.5817 alpha=90.00 beta=125.09 gamma=90.00
Space group C2/m (No. 12)
Asymmetric unit:
K (0.0000, 0.0000, 0.0000) x2
K (0.0875, 0.0000, 0.4098) x4
K (0.1934, 0.5000, 0.8144) x4
H (0.0000, 0.5000, 0.5000) x2
H (0.1131, 0.0000, 0.8757) x4
Cl (0.1740, 0.5000, 0.2668) x4

***

(3)
The following is a theoretical X-ray diffraction stick pattern of In5Sn2Hg5. It was derived from a crystal structure in Alexandria, relaxed with PBE, using CuKα.

Peak list (6 most intense, 15 to 90 degrees two-theta, in order of rising 2θ)
2theta, d/Å, Rel. int., (hkl)
27.8, 3.208, 25, -1 1 3
30.5, 2.931, 100, 0 1 -5
30.9, 2.897, 42, -1 1 4
38.1, 2.363, 71, 1 1 -1
39.4, 2.289, 48, 1 -2 1
39.8, 2.264, 51, 2 -1 0

Atomic structure:
Unit cell a=4.5312 b=4.5829 c=18.7263 alpha=96.60 beta=90.70 gamma=117.53
Space group P-1 (No. 2)
Asymmetric unit:
In (0.0000, 0.0000, 0.0000) x1
In (0.1907, 0.4026, 0.5861) x2
In (0.2619, 0.5923, 0.8312) x2
Sn (0.4311, 0.8060, 0.2594) x2
Hg (0.1186, 0.1981, 0.3321) x2
Hg (0.3664, 0.7043, 0.0813) x2
Hg (0.5000, 0.0000, 0.5000) x1

***

(4)
The following is a theoretical X-ray diffraction stick pattern of NdDyTm2. It was derived from a crystal structure in Alexandria, relaxed with PBE, using CuKα.

Peak list (6 most intense, 15 to 90 degrees two-theta, in order of rising 2θ)
2theta, d/Å, Rel. int., (hkl)
29.3, 3.049, 34, 0 1 2
31.3, 2.858, 51, 0 0 12
31.7, 2.824, 100, 0 1 5
34.2, 2.619, 88, 1 0 7
51.1, 1.789, 39, 1 1 0
61.1, 1.516, 46, 1 1 12

Atomic structure:
Unit cell a=3.5781 b=3.5781 c=34.2954 alpha=90.00 beta=90.00 gamma=120.00
Space group R3m (No. 160, hexagonal axes)
Asymmetric unit:
Nd (0.0000, 0.0000, 0.0000) x3
Dy (0.0000, 0.0000, 0.8342) x3
Tm (0.0000, 0.0000, 0.4184) x3
Tm (0.0000, 0.0000, 0.5824) x3

***

(5)
The following is a theoretical X-ray diffraction stick pattern of PrY3Er8. It was derived from a crystal structure in Alexandria, relaxed with PBE, using CuKα.

Peak list (6 most intense, 15 to 90 degrees two-theta, in order of rising 2θ)
2theta, d/Å, Rel. int., (hkl)
15.7, 5.655, 42, 2 0 0
31.7, 2.824, 80, 4 0 -4
31.8, 2.813, 100, 1 1 2
32.3, 2.774, 89, 2 2 -2
35.5, 2.528, 43, 2 0 2
36.1, 2.491, 70, 0 2 2

Atomic structure:
Unit cell a=15.9727 b=6.3695 c=11.2955 alpha=90.00 beta=134.92 gamma=90.00
Space group C2/m (No. 12)
Asymmetric unit:
Pr (0.0000, 0.0000, 0.0000) x2
Y (0.0000, 0.0000, 0.5000) x2
Y (0.0000, 0.5000, 0.2556) x4
Er (0.1704, 0.0000, 0.4210) x4
Er (0.1704, 0.0000, 0.9197) x4
Er (0.2444, 0.2530, 0.7444) x8

***

(6)
The following is a theoretical X-ray diffraction stick pattern of Ac4Sb8Pd3. It was derived from a crystal structure in Alexandria, relaxed with PBE, using CuKα.

Peak list (6 most intense, 15 to 90 degrees two-theta, in order of rising 2θ)
2theta, d/Å, Rel. int., (hkl)
21.1, 4.220, 18, 1 0 2
32.4, 2.764, 100, 1 1 4
39.0, 2.311, 33, 2 0 0
48.2, 1.889, 12, 1 0 10
51.5, 1.773, 17, 2 1 6
66.5, 1.407, 23, 3 1 4

Atomic structure:
Unit cell a=4.6220 b=4.6220 c=20.7022 alpha=90.00 beta=90.00 gamma=90.00
Space group P-4m2 (No. 115)
Asymmetric unit:
Ac (0.0000, 0.5000, 0.1179) x2
Ac (0.0000, 0.5000, 0.6256) x2
Sb (0.0000, 0.0000, 0.2470) x2
Sb (0.0000, 0.5000, 0.4312) x2
Sb (0.0000, 0.5000, 0.9366) x2
Sb (0.5000, 0.5000, 0.2476) x2
Pd (0.0000, 0.0000, 0.0000) x1
Pd (0.0000, 0.0000, 0.5000) x1
Pd (0.5000, 0.5000, 0.5000) x1

***

(7)
The following is a theoretical X-ray diffraction stick pattern of CaYNb2O7. It was derived from a crystal structure in Alexandria, relaxed with PBE, using CuKα.

Peak list (6 most intense, 15 to 90 degrees two-theta, in order of rising 2θ)
2theta, d/Å, Rel. int., (hkl)
29.2, 3.057, 98, 0 2 2
29.7, 3.006, 100, 2 0 2
34.3, 2.618, 32, 2 2 0
49.0, 1.859, 68, 2 2 4
58.0, 1.591, 42, 2 4 2
58.9, 1.569, 25, 4 2 2

Atomic structure:
Unit cell a=7.3135 b=7.4983 c=10.5568 alpha=90.00 beta=90.00 gamma=90.00
Space group Imma (No. 74)
Asymmetric unit:
Ca (0.2500, 0.2500, 0.2500) x4
Y (0.0000, 0.0000, 0.0000) x4
Nb (0.0000, 0.0000, 0.5000) x4
Nb (0.2500, 0.2500, 0.7500) x4
O (0.0000, 0.2500, 0.1177) x4
O (0.0000, 0.2500, 0.4323) x4
O (0.0000, 0.2500, 0.8406) x4
O (0.2056, 0.0463, 0.6241) x16

***

(8)
The following is a theoretical X-ray diffraction stick pattern of WC6N4. It was derived from a crystal structure in Alexandria, relaxed with PBE, using CuKα.

Peak list (6 most intense, 15 to 90 degrees two-theta, in order of rising 2θ)
2theta, d/Å, Rel. int., (hkl)
19.2, 4.618, 100, 0 2 1
26.2, 3.405, 41, 0 1 2
28.3, 3.157, 26, 1 2 0
29.0, 3.082, 29, 1 1 1
30.3, 2.951, 36, 1 2 -1
32.0, 2.795, 27, 0 4 1

Atomic structure:
Unit cell a=3.7029 b=12.1654 c=7.1114 alpha=90.00 beta=94.04 gamma=90.00
Space group P2_1/m (No. 11)
Asymmetric unit:
W (0.0993, 0.2500, 0.0648) x2
C (0.0024, 0.2500, 0.7608) x2
C (0.0528, 0.1060, 0.2252) x4
C (0.3418, 0.2500, 0.6981) x2
C (0.4070, 0.0762, 0.2540) x4
N (0.2672, 0.5589, 0.7294) x4
N (0.3361, 0.7500, 0.3271) x2
N (0.4052, 0.7500, 0.9433) x2